# LaZr2
Computed PXRD pattern, Cu Kα X-rays. Input: a structure optimized by DFT (PBE).
Peak positions follow from Bragg's law for the DFT cell and can differ from measured ones.

Main lines, sorted by position (2θ from 10° to 80°):
index	2θ/deg	d [Å]	I/Imax
0 0 2	30.5	2.934	11
0 3 1	30.7	2.914	26
2 0 0	33.0	2.712	41
1 0 2	34.8	2.581	53
1 3 1	35.0	2.567	100
2 3 1	45.7	1.985	17
0 3 3	54.3	1.690	17
3 0 2	60.1	1.539	11
3 3 1	60.2	1.537	20
2 3 3	65.0	1.434	19
2 6 0	65.4	1.427	10
1 6 2	66.4	1.407	15

Crystal structure
Cell: 5.425 10.073 5.868 Å, 90.00 90.00 90.00°
Positions (direct):
La 0.250 0.087 0.095
La 0.250 0.413 0.095
La 0.750 0.587 0.905
La 0.750 0.913 0.905
Zr 0.250 0.250 0.604
Zr 0.250 0.596 0.558
Zr 0.250 0.750 0.097
Zr 0.250 0.904 0.558
Zr 0.750 0.096 0.442
Zr 0.750 0.250 0.903
Zr 0.750 0.404 0.442
Zr 0.750 0.750 0.396